# Tm3MgTl
Calculated X-ray diffraction stick pattern, CuKα. Input: the PBE geometry in Alexandria.

Top 6 peaks for 2θ from 5° to 70°, by intensity:
2theta  Rel. int.  h k l
32.68  1000  1 5 1
36.05  392  2 0 0
62.69  312  3 5 1
56.06  220  2 10 0
41.41  149  0 10 0
51.90  140  2 0 2

Cell and atoms:
a = 4.9838 Å, b = 21.7976 Å, c = 4.9826 Å
α = 90.00°, β = 90.00°, γ = 90.00°
Space group Cmcm (No. 63)
Asymmetric unit:
Tm 0.0000 0.0532 0.2500
Tm 0.0000 0.2497 0.2500
Tm 0.0000 0.4432 0.2500
Mg 0.0000 0.1520 0.7500
Tl 0.0000 0.3452 0.7500